[1]
Diffraction record for CdCu5Pd8. The X-ray powder pattern is theoretical, not measured: it uses a DFT-relaxed cell (PBE, Alexandria) and Cu Kα (weighted mean of Kα1 and Kα2).

Largest 10 diffraction maxima, by angle, 2θ from 5° to 70°:
29.1°, 3.071 Å, I = 43.5; 37.0°, 2.427 Å, I = 91.8; 37.9°, 2.375 Å, I = 100.0; 38.0°, 2.368 Å, I = 82.0; 41.4°, 2.181 Å, I = 19.7; 44.5°, 2.036 Å, I = 98.9; 44.9°, 2.017 Å, I = 85.2; 45.2°, 2.005 Å, I = 89.2; 60.3°, 1.536 Å, I = 21.2; 62.2°, 1.493 Å, I = 20.1

Crystal structure
```
data_CdCu5Pd8
_cell_length_a 6.5458
_cell_length_b 6.5458
_cell_length_c 6.5458
_cell_angle_alpha 110.21
_cell_angle_beta 110.21
_cell_angle_gamma 108.00
_space_group_name_H-M_alt 'P 1'
_space_group_IT_number 1
_space_group_name_Hall 'P 1'
loop_
_atom_site_label
_atom_site_type_symbol
_atom_site_fract_x
_atom_site_fract_y
_atom_site_fract_z
Cd1 Cd 0.0000 0.0000 0.0000
Cu1 Cu 0.2096 0.0524 0.5896
Cu2 Cu 0.3800 0.7904 0.8428
Cu3 Cu 0.4629 0.6200 0.4104
Cu4 Cu 0.7500 0.2500 0.5000
Cu5 Cu 0.9476 0.5371 0.1572
Pd1 Pd 0.1085 0.3506 0.4344
Pd2 Pd 0.1699 0.4091 0.9021
Pd3 Pd 0.3259 0.8915 0.2421
Pd4 Pd 0.5070 0.2678 0.0979
Pd5 Pd 0.5909 0.4930 0.7608
Pd6 Pd 0.6494 0.0838 0.7579
Pd7 Pd 0.7322 0.8301 0.2392
Pd8 Pd 0.9162 0.6741 0.5656
```

***

[2]
Diffraction record for Dy6Er2Sc3In. The X-ray powder pattern is theoretical, not measured: it uses a DFT-relaxed cell (PBE, Alexandria) and Cu Kα (weighted mean of Kα1 and Kα2).

Largest 10 diffraction maxima, by angle, 2θ from 5° to 70°:
7.9°, 11.140 Å, I = 22.3; 31.9°, 2.806 Å, I = 100.0; 32.1°, 2.785 Å, I = 32.2; 37.1°, 2.426 Å, I = 66.2; 53.3°, 1.720 Å, I = 23.4; 53.6°, 1.710 Å, I = 22.3; 63.4°, 1.467 Å, I = 13.7; 63.6°, 1.464 Å, I = 26.8; 63.9°, 1.457 Å, I = 12.8; 66.7°, 1.403 Å, I = 11.7

Crystal structure
```
data_Dy6Er2Sc3In
_cell_length_a 5.9589
_cell_length_b 5.9589
_cell_length_c 11.3154
_cell_angle_alpha 95.03
_cell_angle_beta 95.03
_cell_angle_gamma 120.00
_space_group_name_H-M_alt 'P 1'
_space_group_IT_number 1
_space_group_name_Hall 'P 1'
loop_
_atom_site_label
_atom_site_type_symbol
_atom_site_fract_x
_atom_site_fract_y
_atom_site_fract_z
Dy1 Dy 0.0856 0.4162 0.7563
Dy2 Dy 0.2448 0.2448 0.2430
Dy3 Dy 0.4162 0.0856 0.7563
Dy4 Dy 0.5838 0.9144 0.2437
Dy5 Dy 0.7552 0.7552 0.7570
Dy6 Dy 0.9144 0.5838 0.2437
Er1 Er 0.3337 0.6663 0.5000
Er2 Er 0.6663 0.3337 0.5000
Sc1 Sc 0.1667 0.8333 0.0000
Sc2 Sc 0.5000 0.5000 0.0000
Sc3 Sc 0.8333 0.1667 0.0000
In1 In 0.0000 0.0000 0.5000
```